Entry 1:
Calculated XRD peak list
Compound: Mg3In
Radiation: Cu Kα X-rays
Structure: the GGA-PBE geometry in the Materials Project
Peak positions follow from Bragg's law for the DFT cell and can differ from measured ones.

```
8
Lattice="6.346 0.000 0.000 -3.173 5.496 0.000 0.000 0.000 5.264" Properties=species:S:1:pos:R:3 pbc="T T T"
Mg 0.000 1.827 1.316
Mg -1.591 4.582 1.316
Mg 1.582 0.913 3.948
Mg 1.591 4.582 1.316
Mg 4.764 0.913 3.948
Mg 3.173 3.669 3.948
In 0.000 3.664 3.948
In 3.173 1.832 1.316
```

Main lines, in order of rising 2θ (10° ≤ 2θ ≤ 90°):
2θ = 16.1°, intensity 28
2θ = 23.4°, intensity 72
2θ = 28.1°, intensity 30
2θ = 32.6°, intensity 23
2θ = 34.1°, intensity 28
2θ = 36.9°, intensity 100
2θ = 44.7°, intensity 17
2θ = 47.0°, intensity 22
2θ = 47.9°, intensity 16
2θ = 58.1°, intensity 17
2θ = 62.8°, intensity 20
2θ = 69.1°, intensity 20


Entry 2:
Calculated XRD peak list
Compound: Na4LaZnP3O12
Radiation: Cu Kα X-rays
Structure: the GGA-PBE geometry in the Materials Project
Peak positions follow from Bragg's law for the DFT cell and can differ from measured ones.

```
42
Lattice="4.786 2.763 7.459 -4.786 2.763 7.459 0.000 -5.526 7.459" Properties=species:S:1:pos:R:3 pbc="T T T"
Na 0.000 0.000 0.000
Na -1.215 -2.599 9.448
Na -3.142 -0.411 13.177
Na -1.643 2.352 9.448
Na 0.000 0.000 11.189
Na 1.927 -2.516 13.177
Na 2.858 0.247 9.448
Na 1.215 2.927 13.177
La 0.000 0.000 3.676
La 0.000 0.000 14.864
Zn 0.000 0.000 7.886
Zn 0.000 0.000 19.075
P -3.220 -0.276 9.578
P -1.566 -3.039 13.308
P 1.849 -2.650 9.578
P -1.849 2.876 13.308
P 1.371 2.926 9.578
P 3.415 0.163 13.308
O -3.645 -1.166 10.784
O -3.120 -2.967 13.268
O -3.786 1.176 9.639
O -0.813 -1.787 7.054
O -1.002 -3.619 11.994
O -1.665 -0.204 9.539
O 0.875 -3.867 9.639
O -1.141 1.597 7.054
O -1.000 -1.587 13.369
O -2.633 2.677 11.994
O 1.009 -1.340 9.539
O -2.153 -0.086 15.724
O 1.954 0.190 7.054
O 0.656 1.544 9.539
O -0.875 1.659 13.369
O 2.832 -2.573 10.784
O 1.151 -1.821 15.724
O -1.009 4.186 13.268
O 1.874 -0.072 13.369
O 0.813 3.739 10.784
O 2.912 2.691 9.639
O 1.002 1.908 15.724
O 4.130 -1.219 13.268
O 3.635 0.942 11.994
```

Main lines, in order of rising 2θ (10° ≤ 2θ ≤ 90°):
2θ = 13.3°, intensity 24
2θ = 18.5°, intensity 39
2θ = 19.1°, intensity 50
2θ = 22.1°, intensity 22
2θ = 26.8°, intensity 16
2θ = 30.4°, intensity 100
2θ = 32.4°, intensity 59
2θ = 45.0°, intensity 38
2θ = 50.1°, intensity 16
2θ = 50.5°, intensity 19
2θ = 56.5°, intensity 29
2θ = 59.8°, intensity 14


Entry 3:
Calculated XRD peak list
Compound: Ni21Sn2B6
Radiation: Cu Kα X-rays
Structure: the GGA-PBE geometry in the Materials Project
Peak positions follow from Bragg's law for the DFT cell and can differ from measured ones.

```
29
Lattice="0.000 5.289 5.289 5.289 0.000 5.289 5.289 5.289 0.000" Properties=species:S:1:pos:R:3 pbc="T T T"
Ni 0.000 0.000 0.000
Ni 1.778 1.778 0.000
Ni 3.511 3.511 0.000
Ni 1.778 0.000 1.778
Ni 5.289 3.511 1.778
Ni 3.511 0.000 3.511
Ni 5.289 1.778 3.511
Ni 6.501 4.077 4.077
Ni 0.000 1.778 1.778
Ni 3.511 5.289 1.778
Ni 3.511 1.778 5.289
Ni 4.077 4.077 4.077
Ni 6.501 6.501 4.077
Ni 6.501 4.077 6.501
Ni 4.077 6.501 4.077
Ni 4.077 4.077 6.501
Ni 6.501 6.501 6.501
Ni 0.000 3.511 3.511
Ni 1.778 5.289 3.511
Ni 1.778 3.511 5.289
Ni 4.077 6.501 6.501
Sn 2.644 2.644 2.644
Sn 7.933 7.933 7.933
B 5.289 5.289 2.879
B 5.289 2.879 5.289
B 7.699 5.289 5.289
B 2.879 5.289 5.289
B 5.289 7.699 5.289
B 5.289 5.289 7.699
```

Main lines, in order of rising 2θ (10° ≤ 2θ ≤ 90°):
2θ = 38.0°, intensity 50
2θ = 41.8°, intensity 49
2θ = 44.5°, intensity 100
2θ = 48.7°, intensity 28
2θ = 51.1°, intensity 26
2θ = 54.9°, intensity 7
2θ = 57.8°, intensity 14
2θ = 71.3°, intensity 6
2θ = 73.9°, intensity 15
2θ = 76.4°, intensity 31
2θ = 78.3°, intensity 12
2θ = 83.2°, intensity 7


Entry 4:
Calculated XRD peak list
Compound: RbPH4O5
Radiation: Cu Kα X-rays
Structure: the GGA-PBE geometry in the Materials Project
Peak positions follow from Bragg's law for the DFT cell and can differ from measured ones.

```
44
Lattice="7.341 0.000 0.000 0.000 7.829 0.000 -2.329 0.000 9.288" Properties=species:S:1:pos:R:3 pbc="T T T"
Rb 1.239 1.756 0.330
Rb 0.074 2.159 4.974
Rb 4.938 5.671 4.314
Rb 3.773 6.073 8.958
P 2.317 5.567 1.465
P 1.152 6.177 6.109
P 3.860 1.652 3.179
P 2.695 2.263 7.824
H -0.012 4.068 2.032
H -1.176 7.676 6.676
H -0.933 4.551 7.194
H 0.231 7.193 2.550
H 1.598 5.305 4.168
H 0.434 6.439 8.812
H 1.192 3.929 7.718
H 2.356 7.815 3.074
H 2.656 0.014 6.215
H 3.820 3.900 1.571
H 4.579 1.391 0.476
H 3.414 2.524 5.120
H 4.781 0.637 6.738
H 5.945 3.278 2.094
H 6.188 0.153 2.613
H 5.024 3.762 7.257
O -1.612 4.108 6.644
O -0.448 7.636 2.000
O 1.261 4.585 1.013
O 0.097 7.159 5.658
O 1.331 4.965 5.081
O 2.496 6.779 0.436
O 0.893 5.517 7.471
O 2.058 6.227 2.827
O 2.398 0.995 3.170
O 1.234 2.920 7.814
O 3.778 4.910 1.474
O 2.614 6.834 6.119
O 2.955 1.603 6.461
O 4.119 2.312 1.817
O 2.517 1.050 8.852
O 3.681 2.864 4.208
O 4.915 0.670 3.631
O 3.751 3.245 8.275
O 5.460 0.193 7.288
O 6.624 3.722 2.644
```

Main lines, in order of rising 2θ (10° ≤ 2θ ≤ 90°):
2θ = 20.1°, intensity 72
2θ = 22.7°, intensity 57
2θ = 27.5°, intensity 100
2θ = 27.8°, intensity 89
2θ = 29.9°, intensity 57
2θ = 30.5°, intensity 53
2θ = 35.3°, intensity 20
2θ = 37.7°, intensity 24
2θ = 38.2°, intensity 20
2θ = 43.0°, intensity 21
2θ = 43.2°, intensity 22
2θ = 45.4°, intensity 28


Entry 5:
Calculated XRD peak list
Compound: SrCu2Sb2
Radiation: Cu Kα X-rays
Structure: the GGA-PBE geometry in the Materials Project
Peak positions follow from Bragg's law for the DFT cell and can differ from measured ones.

```
10
Lattice="4.554 0.000 0.000 0.000 4.554 0.000 0.000 0.000 10.971" Properties=species:S:1:pos:R:3 pbc="T T T"
Sr 1.138 1.138 2.601
Sr 3.415 3.415 8.370
Cu 1.138 1.138 6.979
Cu 1.138 3.415 0.000
Cu 3.415 1.138 0.000
Cu 3.415 3.415 3.992
Sb 1.138 1.138 9.547
Sb 1.138 3.415 5.485
Sb 3.415 1.138 5.485
Sb 3.415 3.415 1.424
```

Main lines, in order of rising 2θ (10° ≤ 2θ ≤ 90°):
2θ = 28.9°, intensity 14
2θ = 31.4°, intensity 50
2θ = 32.2°, intensity 100
2θ = 39.6°, intensity 72
2θ = 43.3°, intensity 43
2θ = 45.9°, intensity 25
2θ = 51.4°, intensity 24
2θ = 57.2°, intensity 24
2θ = 62.2°, intensity 19
2θ = 67.2°, intensity 23
2θ = 74.4°, intensity 16
2θ = 82.0°, intensity 14


Entry 6:
Calculated XRD peak list
Compound: Nd2ZrS5
Radiation: Cu Kα X-rays
Structure: the GGA-PBE geometry in the Materials Project
Peak positions follow from Bragg's law for the DFT cell and can differ from measured ones.

```
32
Lattice="11.790 0.000 0.000 0.000 7.989 0.000 0.000 0.000 7.417" Properties=species:S:1:pos:R:3 pbc="T T T"
Nd 2.092 0.013 0.199
Nd 2.092 3.981 0.199
Nd 3.803 4.008 3.907
Nd 3.803 7.975 3.907
Nd 7.987 0.013 3.510
Nd 7.987 3.981 3.510
Nd 9.697 4.008 7.218
Nd 9.697 7.975 7.218
Zr 0.084 5.991 4.279
Zr 5.811 1.997 0.570
Zr 5.979 5.991 6.847
Zr 11.706 1.997 3.138
S 0.050 5.991 6.998
S 1.058 0.285 4.893
S 1.058 3.709 4.893
S 2.136 5.991 2.491
S 2.427 1.997 2.331
S 3.468 5.991 6.040
S 3.759 1.997 6.200
S 4.837 4.279 1.184
S 4.837 7.704 1.184
S 5.845 1.997 3.290
S 5.945 5.991 4.127
S 6.952 0.285 6.233
S 6.952 3.709 6.233
S 8.031 5.991 1.217
S 8.322 1.997 1.377
S 9.363 5.991 5.086
S 9.654 1.997 4.926
S 10.732 4.279 2.524
S 10.732 7.704 2.524
S 11.739 1.997 0.419
```

Main lines, in order of rising 2θ (10° ≤ 2θ ≤ 90°):
2θ = 24.0°, intensity 53
2θ = 25.7°, intensity 100
2θ = 26.4°, intensity 53
2θ = 27.0°, intensity 51
2θ = 33.0°, intensity 26
2θ = 33.8°, intensity 29
2θ = 34.2°, intensity 67
2θ = 36.4°, intensity 73
2θ = 43.2°, intensity 26
2θ = 45.4°, intensity 39
2θ = 46.4°, intensity 47
2θ = 52.9°, intensity 34


Entry 7:
Calculated XRD peak list
Compound: Ba2InRuO6
Radiation: Cu Kα X-rays
Structure: the GGA-PBE geometry in the Materials Project
Peak positions follow from Bragg's law for the DFT cell and can differ from measured ones.

```
30
Lattice="5.941 0.000 0.000 -2.970 5.145 0.000 0.000 0.000 14.759" Properties=species:S:1:pos:R:3 pbc="T T T"
Ba 0.000 0.000 3.677
Ba 0.000 0.000 11.082
Ba 0.000 3.430 1.408
Ba 0.000 3.430 6.018
Ba 2.970 1.715 8.742
Ba 2.970 1.715 13.351
In 0.000 0.000 0.000
In 0.000 3.430 9.641
In 2.970 1.715 5.118
Ru 0.000 0.000 7.380
Ru 0.000 3.430 12.454
Ru 2.970 1.715 2.306
O -1.370 2.639 11.178
O 0.000 1.617 8.521
O -1.570 4.336 8.521
O 0.000 1.773 13.510
O -1.435 4.258 13.510
O 1.401 0.809 6.238
O 1.535 0.886 1.249
O 1.370 2.639 11.178
O 0.000 5.012 11.178
O 2.970 0.132 3.581
O 1.600 2.506 3.581
O 1.435 4.258 13.510
O 1.570 4.336 8.521
O 4.405 0.886 1.249
O 2.970 3.372 1.249
O 4.540 0.809 6.238
O 2.970 3.528 6.238
O 4.341 2.506 3.581
```

Main lines, in order of rising 2θ (10° ≤ 2θ ≤ 90°):
2θ = 25.0°, intensity 17
2θ = 29.8°, intensity 69
2θ = 30.1°, intensity 100
2θ = 35.0°, intensity 13
2θ = 39.5°, intensity 14
2θ = 42.9°, intensity 38
2θ = 46.8°, intensity 10
2θ = 53.2°, intensity 27
2θ = 53.4°, intensity 20
2θ = 62.5°, intensity 19
2θ = 70.8°, intensity 12
2θ = 86.7°, intensity 11